[1]
Starting from a structure optimized by DFT (PBE+U), the PXRD pattern of Cr3O2F2 was simulated for Cu Kα (λ = 1.5418 Å).

Main lines, by intensity (2θ from 5° to 70°):
d (Å)  I_rel
2.718  100
2.215  51
5.365  45
3.953  40
1.922  26
2.796  25
3.925  24
1.949  21
1.594  18
1.552  16

Structural model:
Lattice parameters (Å, degrees): 6.016 6.485 5.592 90.00 116.90 90.00
Fractional positions:
1 Cr 0.000 0.131 0.000
2 Cr 0.000 0.869 0.500
3 Cr 0.069 0.368 0.487
4 Cr 0.069 0.632 0.987
5 Cr 0.536 0.253 0.243
6 Cr 0.536 0.747 0.743
7 O 0.219 0.376 0.224
8 O 0.219 0.624 0.724
9 O 0.851 0.123 0.263
10 O 0.851 0.877 0.763
11 F 0.292 0.131 0.877
12 F 0.292 0.869 0.377
13 F 0.779 0.368 0.612
14 F 0.779 0.632 0.112

***

[2]
Starting from a structure optimized by DFT (PBE+U), the PXRD pattern of Cr4OF6 was simulated for Cu Kα (λ = 1.5418 Å).

Main lines, by intensity (2θ from 5° to 70°):
d (Å)  I_rel
2.988  100
1.805  26
1.842  26
1.545  23
2.053  21
4.283  12
2.193  10
1.555  10
1.600  8
2.553  7

Structural model:
Lattice parameters (Å, degrees): 7.221 7.221 5.320 90.00 90.00 90.00
Fractional positions:
1 Cr 0.002 0.750 0.063
2 Cr 0.250 0.502 0.437
3 Cr 0.250 0.998 0.437
4 Cr 0.498 0.750 0.063
5 Cr 0.502 0.250 0.937
6 Cr 0.750 0.002 0.563
7 Cr 0.750 0.498 0.563
8 Cr 0.998 0.250 0.937
9 O 0.250 0.750 0.250
10 O 0.750 0.250 0.750
11 F 0.034 0.534 0.750
12 F 0.034 0.966 0.750
13 F 0.250 0.250 0.098
14 F 0.250 0.250 0.598
15 F 0.466 0.534 0.750
16 F 0.466 0.966 0.750
17 F 0.534 0.034 0.250
18 F 0.534 0.466 0.250
19 F 0.750 0.750 0.402
20 F 0.750 0.750 0.902
21 F 0.966 0.034 0.250
22 F 0.966 0.466 0.250

***

[3]
Starting from a structure optimized by DFT (PBE+U), the PXRD pattern of Cr4OF11 was simulated for Cu Kα (λ = 1.5418 Å).

Main lines, by intensity (2θ from 5° to 70°):
d (Å)  I_rel
3.666  100
3.691  50
1.673  27
2.202  24
2.666  21
1.833  17
1.681  14
2.213  12
1.463  11
2.658  10

Structural model:
Lattice parameters (Å, degrees): 5.081 5.329 16.890 88.25 81.66 61.76
Fractional positions:
1 Cr 0.000 0.000 0.000
2 Cr 0.003 0.476 0.502
3 Cr 0.240 0.890 0.621
4 Cr 0.252 0.377 0.125
5 Cr 0.498 0.253 0.749
6 Cr 0.507 0.757 0.254
7 Cr 0.744 0.106 0.373
8 Cr 0.749 0.625 0.875
9 O 0.002 0.184 0.562
10 O 0.561 0.906 0.343
11 F 0.002 0.686 0.062
12 F 0.063 0.466 0.782
13 F 0.065 0.157 0.093
14 F 0.066 0.654 0.592
15 F 0.068 0.965 0.282
16 F 0.434 0.595 0.161
17 F 0.435 0.280 0.467
18 F 0.435 0.781 0.968
19 F 0.438 0.091 0.656
20 F 0.486 0.569 0.686
21 F 0.501 0.060 0.187
22 F 0.503 0.938 0.812
23 F 0.508 0.434 0.312
24 F 0.563 0.406 0.843
25 F 0.564 0.217 0.032
26 F 0.566 0.715 0.532
27 F 0.931 0.333 0.408
28 F 0.935 0.033 0.716
29 F 0.936 0.530 0.218
30 F 0.936 0.843 0.906
31 F 0.988 0.804 0.438
32 F 0.997 0.313 0.937

***

[4]
Starting from a structure optimized by DFT (PBE+U), the PXRD pattern of Cr3O2F2 was simulated for Cu Kα (λ = 1.5418 Å).

Main lines, by intensity (2θ from 5° to 70°):
d (Å)  I_rel
2.701  100
2.728  64
4.492  61
2.771  61
2.351  45
3.754  38
2.712  36
2.443  31
2.379  29
2.373  29

Structural model:
Lattice parameters (Å, degrees): 8.369 8.700 10.925 90.00 106.21 90.00
Fractional positions:
1 Cr 0.044 0.077 0.268
2 Cr 0.044 0.423 0.768
3 Cr 0.097 0.147 0.991
4 Cr 0.097 0.353 0.491
5 Cr 0.190 0.019 0.567
6 Cr 0.190 0.481 0.067
7 Cr 0.266 0.685 0.668
8 Cr 0.266 0.815 0.168
9 Cr 0.400 0.574 0.378
10 Cr 0.400 0.926 0.878
11 Cr 0.424 0.203 0.362
12 Cr 0.424 0.297 0.862
13 Cr 0.576 0.703 0.138
14 Cr 0.576 0.797 0.638
15 Cr 0.600 0.074 0.122
16 Cr 0.600 0.426 0.622
17 Cr 0.734 0.185 0.832
18 Cr 0.734 0.315 0.332
19 Cr 0.810 0.519 0.933
20 Cr 0.810 0.981 0.433
21 Cr 0.903 0.647 0.509
22 Cr 0.903 0.853 0.009
23 Cr 0.956 0.577 0.232
24 Cr 0.956 0.923 0.732
25 O 0.002 0.634 0.066
26 O 0.002 0.866 0.566
27 O 0.095 0.522 0.618
28 O 0.095 0.978 0.118
29 O 0.381 0.606 0.186
30 O 0.381 0.894 0.686
31 O 0.435 0.606 0.575
32 O 0.435 0.894 0.075
33 O 0.565 0.106 0.925
34 O 0.565 0.394 0.425
35 O 0.619 0.106 0.314
36 O 0.619 0.394 0.814
37 O 0.905 0.022 0.882
38 O 0.905 0.478 0.382
39 O 0.998 0.134 0.434
40 O 0.998 0.366 0.934
41 F 0.173 0.696 0.323
42 F 0.173 0.804 0.823
43 F 0.207 0.170 0.821
44 F 0.207 0.330 0.321
45 F 0.284 0.010 0.363
46 F 0.284 0.490 0.863
47 F 0.309 0.232 0.587
48 F 0.309 0.268 0.087
49 F 0.691 0.732 0.913
50 F 0.691 0.768 0.413
51 F 0.716 0.510 0.137
52 F 0.716 0.990 0.637
53 F 0.793 0.670 0.679
54 F 0.793 0.830 0.179
55 F 0.827 0.196 0.177
56 F 0.827 0.304 0.677

***

[5]
Starting from a structure optimized by DFT (PBE+U), the PXRD pattern of Cr2OF2 was simulated for Cu Kα (λ = 1.5418 Å).

Main lines, by intensity (2θ from 5° to 70°):
d (Å)  I_rel
5.060  100
2.530  41
2.854  17
1.818  15
3.066  11
2.292  11
1.425  8
1.533  7
1.479  7
1.933  6

Structural model:
Lattice parameters (Å, degrees): 7.316 6.490 6.019 71.47 57.25 51.27
Fractional positions:
1 Cr 0.000 0.000 0.000
2 Cr 0.000 0.000 0.500
3 Cr 0.000 0.500 0.000
4 Cr 0.500 0.000 0.000
5 O 0.125 0.125 0.125
6 O 0.875 0.875 0.875
7 F 0.123 0.123 0.627
8 F 0.373 0.373 0.877
9 F 0.627 0.627 0.123
10 F 0.877 0.877 0.373

***

[6]
Starting from a structure optimized by DFT (PBE+U), the PXRD pattern of CrOF4 was simulated for Cu Kα (λ = 1.5418 Å).

Main lines, by intensity (2θ from 5° to 70°):
d (Å)  I_rel
4.061  100
4.381  49
6.938  24
3.612  17
4.889  16
3.779  16
3.467  13
2.316  12
3.112  12
4.632  12

Structural model:
Lattice parameters (Å, degrees): 9.983 9.983 15.117 112.48 112.48 33.56
Fractional positions:
1 Cr 0.032 0.189 0.177
2 Cr 0.189 0.032 0.677
3 Cr 0.282 0.447 0.107
4 Cr 0.447 0.282 0.607
5 Cr 0.553 0.718 0.393
6 Cr 0.718 0.553 0.893
7 Cr 0.811 0.968 0.323
8 Cr 0.968 0.811 0.823
9 O 0.015 0.244 0.618
10 O 0.225 0.432 0.527
11 O 0.244 0.015 0.118
12 O 0.432 0.225 0.027
13 O 0.568 0.775 0.973
14 O 0.756 0.985 0.882
15 O 0.775 0.568 0.473
16 O 0.985 0.756 0.382
17 F 0.001 0.838 0.243
18 F 0.014 0.319 0.953
19 F 0.078 0.316 0.277
20 F 0.121 0.853 0.889
21 F 0.147 0.879 0.611
22 F 0.162 0.999 0.257
23 F 0.175 0.414 0.154
24 F 0.209 0.533 0.870
25 F 0.315 0.592 0.105
26 F 0.316 0.078 0.777
27 F 0.319 0.014 0.453
28 F 0.331 0.500 0.713
29 F 0.408 0.685 0.395
30 F 0.414 0.175 0.654
31 F 0.467 0.791 0.630
32 F 0.500 0.331 0.213
33 F 0.500 0.669 0.787
34 F 0.533 0.209 0.370
35 F 0.586 0.825 0.346
36 F 0.592 0.315 0.605
37 F 0.669 0.500 0.287
38 F 0.681 0.986 0.547
39 F 0.684 0.922 0.223
40 F 0.685 0.408 0.895
41 F 0.791 0.467 0.130
42 F 0.825 0.586 0.846
43 F 0.838 0.001 0.743
44 F 0.853 0.121 0.389
45 F 0.879 0.147 0.111
46 F 0.922 0.684 0.723
47 F 0.986 0.681 0.047
48 F 0.999 0.162 0.757